Computed PXRD pattern of Ba3Ge4C2 for copper Kα, from a crystal structure in Alexandria, relaxed with GGA-PBE.
Intensities are scaled so that the largest is 100.

abc: 8.848 9.078 12.529
angles: 90.00 90.00 90.00
Space group Ibam (No. 72)
One atom of each set of equivalent atoms:
Ba 0.000 0.000 0.250
Ba 0.193 0.336 0.000
Ge 0.106 0.394 0.318
C 0.032 0.062 0.000

Principal peaks in the range 10° ≤ 2θ ≤ 90°, low angle first:
| 2theta | I (rel.) | hkl |
| --- | --- | --- |
| 24.21 | 51 | 0 2 2 |
| 24.63 | 74 | 2 0 2 |
| 30.80 | 100 | 1 2 3 |
| 31.05 | 69 | 2 1 3 |
| 31.24 | 35 | 1 3 0 |
| 31.90 | 51 | 3 1 0 |